# 1
Starting from a PBE-relaxed structure, the powder XRD pattern of Pr9Y2Ho3 was calculated for Cu Ka.

Peak list (10 most intense, 10 to 90 degrees two-theta, by angle)
two_theta	I/Imax
25.1	32
29.5	42
30.7	70
32.6	100
33.5	21
35.6	30
52.9	18
53.3	29
59.8	19
60.7	21

Structure:
Cell lengths 9.097, 9.097, 14.200 Å; angles 90.00, 90.00, 120.00 degrees
Element x y z (fractional)
Pr (0.079, 0.482, 0.250)
Pr (0.132, 0.728, 0.043)
Pr (0.132, 0.728, 0.457)
Pr (0.272, 0.404, 0.043)
Pr (0.272, 0.404, 0.457)
Pr (0.403, 0.921, 0.250)
Pr (0.404, 0.132, 0.543)
Pr (0.404, 0.132, 0.957)
Pr (0.482, 0.403, 0.750)
Pr (0.518, 0.597, 0.250)
Pr (0.596, 0.868, 0.043)
Pr (0.596, 0.868, 0.457)
Pr (0.597, 0.079, 0.750)
Pr (0.728, 0.596, 0.543)
Pr (0.728, 0.596, 0.957)
Pr (0.868, 0.272, 0.543)
Pr (0.868, 0.272, 0.957)
Pr (0.921, 0.518, 0.750)
Y (0.333, 0.667, 0.642)
Y (0.333, 0.667, 0.858)
Y (0.667, 0.333, 0.142)
Y (0.667, 0.333, 0.358)
Ho (0.078, 0.249, 0.750)
Ho (0.171, 0.922, 0.750)
Ho (0.249, 0.171, 0.250)
Ho (0.751, 0.829, 0.750)
Ho (0.829, 0.078, 0.250)
Ho (0.922, 0.751, 0.250)



# 2
Starting from a PBE-relaxed structure, the powder XRD pattern of Pr3Y3Ho4 was calculated for Cu Ka.

Peak list (10 most intense, 10 to 90 degrees two-theta, by angle)
two_theta	I/Imax
13.2	19
29.7	25
29.8	24
30.6	19
32.0	100
34.1	9
37.9	10
49.1	10
57.8	9
58.5	14

Structure:
Cell lengths 3.708, 9.497, 9.497 Å; angles 89.63, 90.00, 90.00 degrees
Element x y z (fractional)
Pr (0.000, 0.000, 0.000)
Pr (0.000, 0.499, 0.847)
Pr (0.000, 0.847, 0.499)
Y (0.000, 0.347, 0.347)
Y (0.500, 0.175, 0.667)
Y (0.500, 0.667, 0.175)
Ho (0.500, 0.051, 0.299)
Ho (0.500, 0.299, 0.051)
Ho (0.500, 0.547, 0.547)
Ho (0.500, 0.799, 0.799)



# 3
Starting from a PBE-relaxed structure, the powder XRD pattern of Pr3Y8Ho4 was calculated for Cu Ka.

Peak list (10 most intense, 10 to 90 degrees two-theta, by angle)
two_theta	I/Imax
20.5	20
27.7	42
30.5	100
30.6	49
31.7	20
38.6	12
41.7	83
54.2	19
61.9	17
66.2	29

Structure:
Cell lengths 9.332, 9.332, 6.776 Å; angles 111.19, 111.19, 87.27 degrees
Element x y z (fractional)
Pr (0.000, 0.000, 0.000)
Pr (0.000, 0.500, 0.500)
Pr (0.500, 0.000, 0.500)
Y (0.143, 0.857, 0.500)
Y (0.232, 0.232, 0.503)
Y (0.242, 0.242, 0.993)
Y (0.249, 0.751, 0.000)
Y (0.751, 0.249, 0.000)
Y (0.758, 0.758, 0.007)
Y (0.768, 0.768, 0.497)
Y (0.857, 0.143, 0.500)
Ho (0.000, 0.500, 0.000)
Ho (0.500, 0.000, 0.000)
Ho (0.500, 0.500, 0.000)
Ho (0.500, 0.500, 0.500)



# 4
Starting from a PBE-relaxed structure, the powder XRD pattern of Pr3Y2Ho6 was calculated for Cu Ka.

Peak list (10 most intense, 10 to 90 degrees two-theta, by angle)
two_theta	I/Imax
30.6	17
30.9	36
31.2	41
32.0	100
34.2	11
44.2	12
53.0	14
56.0	20
61.7	17
62.8	15

Structure:
Cell lengths 6.733, 6.733, 10.474 Å; angles 90.00, 90.00, 129.61 degrees
Element x y z (fractional)
Pr (0.000, 0.000, 0.000)
Pr (0.294, 0.706, 0.000)
Pr (0.706, 0.294, 0.000)
Y (0.367, 0.633, 0.500)
Y (0.633, 0.367, 0.500)
Ho (0.150, 0.850, 0.303)
Ho (0.150, 0.850, 0.697)
Ho (0.500, 0.500, 0.211)
Ho (0.500, 0.500, 0.789)
Ho (0.850, 0.150, 0.303)
Ho (0.850, 0.150, 0.697)



# 5
Starting from a PBE-relaxed structure, the powder XRD pattern of PrY2Ho8 was calculated for Cu Ka.

Peak list (10 most intense, 10 to 90 degrees two-theta, by angle)
two_theta	I/Imax
29.8	27
32.2	100
32.4	14
32.6	34
33.7	32
47.6	24
56.4	13
57.9	19
63.2	11
64.4	12

Structure:
Cell lengths 9.360, 9.360, 9.360 Å; angles 145.82, 128.75, 63.05 degrees
Element x y z (fractional)
Pr (0.000, 0.000, 0.000)
Y (0.300, 0.300, 0.000)
Y (0.700, 0.700, 0.000)
Ho (0.155, 0.861, 0.294)
Ho (0.164, 0.664, 0.500)
Ho (0.295, 0.500, 0.795)
Ho (0.433, 0.139, 0.294)
Ho (0.567, 0.861, 0.706)
Ho (0.705, 0.500, 0.205)
Ho (0.836, 0.336, 0.500)
Ho (0.845, 0.139, 0.706)



# 6
Starting from a PBE-relaxed structure, the powder XRD pattern of PrY14Ho was calculated for Cu Ka.

Peak list (10 most intense, 10 to 90 degrees two-theta, by angle)
two_theta	I/Imax
30.6	100
35.5	33
35.6	17
51.1	35
60.7	27
60.8	13
63.8	12
83.2	5
83.3	11
85.9	10

Structure:
Cell lengths 7.158, 7.158, 10.093 Å; angles 90.00, 90.00, 90.00 degrees
Element x y z (fractional)
Pr (0.000, 0.000, 0.000)
Y (0.000, 0.000, 0.500)
Y (0.000, 0.500, 0.000)
Y (0.000, 0.500, 0.500)
Y (0.251, 0.251, 0.250)
Y (0.251, 0.251, 0.750)
Y (0.251, 0.749, 0.250)
Y (0.251, 0.749, 0.750)
Y (0.500, 0.000, 0.000)
Y (0.500, 0.000, 0.500)
Y (0.500, 0.500, 0.500)
Y (0.749, 0.251, 0.250)
Y (0.749, 0.251, 0.750)
Y (0.749, 0.749, 0.250)
Y (0.749, 0.749, 0.750)
Ho (0.500, 0.500, 0.000)



# 7
Starting from a PBE-relaxed structure, the powder XRD pattern of Pr7Y12Ho was calculated for Cu Ka.

Peak list (10 most intense, 10 to 90 degrees two-theta, by angle)
two_theta	I/Imax
23.2	15
27.6	17
28.4	25
30.3	39
31.3	100
32.7	60
36.0	15
49.9	19
54.7	14
58.0	15

Structure:
Cell lengths 8.880, 8.880, 8.880 Å; angles 85.84, 85.84, 85.84 degrees
Element x y z (fractional)
Pr (0.000, 0.000, 0.000)
Pr (0.102, 0.419, 0.345)
Pr (0.345, 0.102, 0.419)
Pr (0.419, 0.345, 0.102)
Pr (0.581, 0.655, 0.898)
Pr (0.655, 0.898, 0.581)
Pr (0.898, 0.581, 0.655)
Y (0.003, 0.886, 0.363)
Y (0.114, 0.637, 0.997)
Y (0.228, 0.357, 0.750)
Y (0.250, 0.772, 0.643)
Y (0.357, 0.750, 0.228)
Y (0.363, 0.003, 0.886)
Y (0.637, 0.997, 0.114)
Y (0.643, 0.250, 0.772)
Y (0.750, 0.228, 0.357)
Y (0.772, 0.643, 0.250)
Y (0.886, 0.363, 0.003)
Y (0.997, 0.114, 0.637)
Ho (0.500, 0.500, 0.500)



# 8
Starting from a PBE-relaxed structure, the powder XRD pattern of Pr2Y6Ho was calculated for Cu Ka.

Peak list (10 most intense, 10 to 90 degrees two-theta, by angle)
two_theta	I/Imax
28.4	51
28.7	34
30.7	100
30.9	40
31.0	77
31.2	100
31.9	79
32.9	60
33.3	55
34.2	37

Structure:
Cell lengths 9.682, 9.682, 6.619 Å; angles 99.05, 99.05, 96.18 degrees
Element x y z (fractional)
Pr (0.116, 0.167, 0.374)
Pr (0.167, 0.116, 0.874)
Pr (0.833, 0.884, 0.126)
Pr (0.884, 0.833, 0.626)
Y (0.041, 0.441, 0.729)
Y (0.154, 0.775, 0.995)
Y (0.225, 0.846, 0.505)
Y (0.278, 0.456, 0.189)
Y (0.441, 0.041, 0.229)
Y (0.456, 0.278, 0.689)
Y (0.544, 0.722, 0.311)
Y (0.559, 0.959, 0.771)
Y (0.722, 0.544, 0.811)
Y (0.775, 0.154, 0.495)
Y (0.846, 0.225, 0.005)
Y (0.959, 0.559, 0.271)
Ho (0.383, 0.617, 0.750)
Ho (0.617, 0.383, 0.250)